Computed powder XRD pattern
Compound: K3NdO3
Radiation: Cu Kα, 1.54184 Å
Structure: a DFT-relaxed cell (GGA-PBE, Alexandria)

Cell and atoms:
```
data_K3NdO3
_chemical_formula_sum 'K6 Nd2 O6'
_space_group_name_H-M_alt 'P 1'
_space_group_IT_number 1
_cell_length_a 7.714
_cell_length_b 7.714
_cell_length_c 7.695
_cell_angle_alpha 119.89
_cell_angle_beta 119.89
_cell_angle_gamma 54.97
loop_
_space_group_symop_operation_xyz
'x,y,z'
loop_
_atom_site_label
_atom_site_fract_x
_atom_site_fract_y
_atom_site_fract_z
K1 0.221 0.221 0.470
K2 0.246 0.754 0.000
K3 0.246 0.754 0.500
K4 0.754 0.246 0.000
K5 0.754 0.246 0.500
K6 0.779 0.779 0.530
Nd1 0.214 0.214 0.964
Nd2 0.786 0.786 0.036
O1 0.000 0.500 0.204
O2 0.000 0.500 0.796
O3 0.018 0.018 0.768
O4 0.500 0.000 0.204
O5 0.500 0.000 0.796
O6 0.982 0.982 0.232
```

Largest 12 diffraction maxima, sorted by position, 15° ≤ 2θ ≤ 90°:
d = 5.662 Å, 2θ 15.7, I 37; d = 3.844 Å, 2θ 23.1, I 27; d = 3.182 Å, 2θ 28.0, I 74; d = 3.107 Å, 2θ 28.7, I 28; d = 3.014 Å, 2θ 29.6, I 61; d = 2.831 Å, 2θ 31.6, I 41; d = 2.613 Å, 2θ 34.3, I 100; d = 1.922 Å, 2θ 47.3, I 40; d = 1.920 Å, 2θ 47.4, I 23; d = 1.882 Å, 2θ 48.4, I 23; d = 1.622 Å, 2θ 56.8, I 22; d = 1.507 Å, 2θ 61.5, I 22

---

Computed powder XRD pattern
Compound: TaTl2O2F4
Radiation: Cu Kα, 1.54184 Å
Structure: a DFT-relaxed cell (GGA-PBE, Alexandria)

Cell and atoms:
```
data_TaTl2O2F4
_chemical_formula_sum 'Ta1 Tl2 O2 F4'
_space_group_name_H-M_alt 'P 1'
_space_group_IT_number 1
_cell_length_a 6.073
_cell_length_b 6.073
_cell_length_c 5.006
_cell_angle_alpha 97.36
_cell_angle_beta 97.36
_cell_angle_gamma 55.82
loop_
_space_group_symop_operation_xyz
'x,y,z'
loop_
_atom_site_label
_atom_site_fract_x
_atom_site_fract_y
_atom_site_fract_z
Ta1 0.000 0.000 0.000
Tl1 0.324 0.324 0.651
Tl2 0.676 0.676 0.349
O1 0.148 0.148 0.268
O2 0.852 0.852 0.732
F1 0.170 0.676 0.199
F2 0.324 0.830 0.801
F3 0.676 0.170 0.199
F4 0.830 0.324 0.801
```

Largest 12 diffraction maxima, sorted by position, 15° ≤ 2θ ≤ 90°:
d = 3.916 Å, 2θ 22.7, I 76; d = 3.409 Å, 2θ 26.1, I 100; d = 3.005 Å, 2θ 29.7, I 71; d = 2.843 Å, 2θ 31.5, I 30; d = 2.301 Å, 2θ 39.2, I 51; d = 2.283 Å, 2θ 39.5, I 35; d = 2.211 Å, 2θ 40.8, I 21; d = 2.130 Å, 2θ 42.4, I 16; d = 1.940 Å, 2θ 46.8, I 21; d = 1.732 Å, 2θ 52.9, I 15; d = 1.704 Å, 2θ 53.8, I 16; d = 1.613 Å, 2θ 57.1, I 15

---

Computed powder XRD pattern
Compound: Ni5Pt7
Radiation: Cu Kα, 1.54184 Å
Structure: a DFT-relaxed cell (GGA-PBE, Alexandria)

Cell and atoms:
```
data_Ni5Pt7
_chemical_formula_sum 'Ni5 Pt7'
_space_group_name_H-M_alt 'P 1'
_space_group_IT_number 1
_cell_length_a 4.692
_cell_length_b 5.384
_cell_length_c 7.127
_cell_angle_alpha 68.10
_cell_angle_beta 89.38
_cell_angle_gamma 89.99
loop_
_space_group_symop_operation_xyz
'x,y,z'
loop_
_atom_site_label
_atom_site_fract_x
_atom_site_fract_y
_atom_site_fract_z
Ni1 0.000 0.000 0.000
Ni2 0.161 0.083 0.336
Ni3 0.330 0.664 0.665
Ni4 0.670 0.336 0.335
Ni5 0.839 0.917 0.664
Pt1 0.000 0.500 0.000
Pt2 0.168 0.586 0.334
Pt3 0.331 0.152 0.658
Pt4 0.493 0.246 0.006
Pt5 0.507 0.754 0.994
Pt6 0.669 0.848 0.342
Pt7 0.832 0.414 0.666
```

Largest 12 diffraction maxima, sorted by position, 15° ≤ 2θ ≤ 90°:
d = 3.422 Å, 2θ 26.0, I 14; d = 3.407 Å, 2θ 26.2, I 25; d = 2.207 Å, 2θ 40.9, I 100; d = 2.203 Å, 2θ 41.0, I 99; d = 1.924 Å, 2θ 47.2, I 34; d = 1.906 Å, 2θ 47.7, I 32; d = 1.898 Å, 2θ 47.9, I 31; d = 1.352 Å, 2θ 69.5, I 22; d = 1.158 Å, 2θ 83.5, I 13; d = 1.150 Å, 2θ 84.2, I 13; d = 1.146 Å, 2θ 84.6, I 17; d = 1.102 Å, 2θ 88.8, I 16

---

Computed powder XRD pattern
Compound: Nb4V2Re
Radiation: Cu Kα, 1.54184 Å
Structure: a DFT-relaxed cell (GGA-PBE, Alexandria)

Cell and atoms:
```
data_Nb4V2Re
_chemical_formula_sum 'Nb4 V2 Re1'
_space_group_name_H-M_alt 'P 1'
_space_group_IT_number 1
_cell_length_a 7.232
_cell_length_b 7.232
_cell_length_c 7.299
_cell_angle_alpha 119.30
_cell_angle_beta 119.30
_cell_angle_gamma 20.98
loop_
_space_group_symop_operation_xyz
'x,y,z'
loop_
_atom_site_label
_atom_site_fract_x
_atom_site_fract_y
_atom_site_fract_z
Nb1 0.077 0.077 0.217
Nb2 0.357 0.357 0.083
Nb3 0.643 0.643 0.917
Nb4 0.923 0.923 0.783
V1 0.214 0.214 0.634
V2 0.786 0.786 0.366
Re1 0.000 0.000 0.500
```

Largest 12 diffraction maxima, sorted by position, 15° ≤ 2θ ≤ 90°:
d = 3.116 Å, 2θ 28.6, I 23; d = 2.575 Å, 2θ 34.8, I 37; d = 2.395 Å, 2θ 37.6, I 100; d = 2.350 Å, 2θ 38.3, I 96; d = 2.335 Å, 2θ 38.6, I 93; d = 2.303 Å, 2θ 39.1, I 52; d = 2.293 Å, 2θ 39.3, I 35; d = 2.217 Å, 2θ 40.7, I 37; d = 2.108 Å, 2θ 42.9, I 24; d = 2.100 Å, 2θ 43.1, I 34; d = 1.367 Å, 2θ 68.7, I 28; d = 1.149 Å, 2θ 84.3, I 19

---

Computed powder XRD pattern
Compound: Y2MnAs
Radiation: Cu Kα, 1.54184 Å
Structure: a DFT-relaxed cell (GGA-PBE, Alexandria)

Cell and atoms:
```
data_Y2MnAs
_chemical_formula_sum 'Y2 Mn1 As1'
_space_group_name_H-M_alt 'P 1'
_space_group_IT_number 1
_cell_length_a 4.160
_cell_length_b 5.814
_cell_length_c 5.814
_cell_angle_alpha 40.16
_cell_angle_beta 90.00
_cell_angle_gamma 90.00
loop_
_space_group_symop_operation_xyz
'x,y,z'
loop_
_atom_site_label
_atom_site_fract_x
_atom_site_fract_y
_atom_site_fract_z
Y1 0.000 0.000 0.000
Y2 0.500 0.288 0.288
Mn1 0.000 0.718 0.718
As1 0.500 0.573 0.573
```

Largest 12 diffraction maxima, sorted by position, 15° ≤ 2θ ≤ 90°:
d = 2.785 Å, 2θ 32.1, I 100; d = 2.730 Å, 2θ 32.8, I 22; d = 2.690 Å, 2θ 33.3, I 42; d = 2.283 Å, 2θ 39.5, I 31; d = 2.259 Å, 2θ 39.9, I 57; d = 2.080 Å, 2θ 43.5, I 26; d = 1.996 Å, 2θ 45.4, I 23; d = 1.645 Å, 2θ 55.9, I 18; d = 1.503 Å, 2θ 61.7, I 16; d = 1.453 Å, 2θ 64.1, I 15; d = 1.440 Å, 2θ 64.7, I 15; d = 1.191 Å, 2θ 80.7, I 16

---

Computed powder XRD pattern
Compound: Ac2La3Sm6
Radiation: Cu Kα, 1.54184 Å
Structure: a DFT-relaxed cell (GGA-PBE, Alexandria)

Cell and atoms:
```
data_Ac2La3Sm6
_chemical_formula_sum 'Ac2 La3 Sm6'
_space_group_name_H-M_alt 'P 1'
_space_group_IT_number 1
_cell_length_a 6.449
_cell_length_b 8.349
_cell_length_c 8.361
_cell_angle_alpha 107.61
_cell_angle_beta 97.64
_cell_angle_gamma 104.92
loop_
_space_group_symop_operation_xyz
'x,y,z'
loop_
_atom_site_label
_atom_site_fract_x
_atom_site_fract_y
_atom_site_fract_z
Ac1 0.094 0.361 0.314
Ac2 0.906 0.639 0.686
La1 0.000 0.000 0.500
La2 0.362 0.451 0.780
La3 0.638 0.549 0.220
Sm1 0.183 0.733 0.139
Sm2 0.279 0.090 0.956
Sm3 0.454 0.825 0.592
Sm4 0.546 0.175 0.408
Sm5 0.721 0.910 0.044
Sm6 0.817 0.267 0.861
```

Largest 12 diffraction maxima, sorted by position, 15° ≤ 2θ ≤ 90°:
d = 3.045 Å, 2θ 29.3, I 100; d = 2.646 Å, 2θ 33.9, I 17; d = 2.638 Å, 2θ 34.0, I 17; d = 2.628 Å, 2θ 34.1, I 17; d = 1.868 Å, 2θ 48.7, I 12; d = 1.864 Å, 2θ 48.9, I 18; d = 1.861 Å, 2θ 48.9, I 6; d = 1.594 Å, 2θ 57.8, I 15; d = 1.591 Å, 2θ 58.0, I 11; d = 1.586 Å, 2θ 58.2, I 15; d = 1.523 Å, 2θ 60.8, I 10; d = 1.210 Å, 2θ 79.2, I 6

---

Computed powder XRD pattern
Compound: Sm5Er4In4
Radiation: Cu Kα, 1.54184 Å
Structure: a DFT-relaxed cell (GGA-PBE, Alexandria)

Cell and atoms:
```
data_Sm5Er4In4
_chemical_formula_sum 'Sm5 Er4 In4'
_space_group_name_H-M_alt 'P 1'
_space_group_IT_number 1
_cell_length_a 9.111
_cell_length_b 9.111
_cell_length_c 9.111
_cell_angle_alpha 94.45
_cell_angle_beta 94.45
_cell_angle_gamma 147.65
loop_
_space_group_symop_operation_xyz
'x,y,z'
loop_
_atom_site_label
_atom_site_fract_x
_atom_site_fract_y
_atom_site_fract_z
Sm1 0.000 0.000 0.000
Sm2 0.310 0.401 0.711
Sm3 0.401 0.690 0.091
Sm4 0.599 0.310 0.909
Sm5 0.690 0.599 0.289
Er1 0.095 0.605 0.700
Er2 0.395 0.095 0.491
Er3 0.605 0.905 0.509
Er4 0.905 0.395 0.300
In1 0.103 0.237 0.341
In2 0.237 0.897 0.134
In3 0.763 0.103 0.866
In4 0.897 0.763 0.659
```

Largest 12 diffraction maxima, sorted by position, 15° ≤ 2θ ≤ 90°:
d = 3.201 Å, 2θ 27.9, I 8; d = 2.843 Å, 2θ 31.5, I 100; d = 2.767 Å, 2θ 32.4, I 8; d = 2.583 Å, 2θ 34.7, I 10; d = 2.538 Å, 2θ 35.4, I 23; d = 2.427 Å, 2θ 37.0, I 18; d = 1.754 Å, 2θ 52.1, I 14; d = 1.750 Å, 2θ 52.3, I 7; d = 1.612 Å, 2θ 57.1, I 10; d = 1.517 Å, 2θ 61.1, I 15; d = 1.441 Å, 2θ 64.7, I 8; d = 1.393 Å, 2θ 67.2, I 9

---

Q: Which formula does entry 5 have?
A: Y2MnAs